Starting from a GGA-PBE-relaxed structure, the powder X-ray diffraction pattern of Ce2Zn12Pd5 was simulated for Cu Kα (weighted mean of Kα1 and Kα2).
Kinematic intensities with the Lorentz-polarization factor, no thermal factor.

Structure:
a b c (Å): 6.8729 6.8729 6.8729
angles (deg): 83.97 83.97 83.97
Atoms (fractional coordinates):
Ce 0.1693 0.1693 0.1693
Ce 0.8307 0.8307 0.8307
Zn 0.1501 0.1501 0.6558
Zn 0.1501 0.6558 0.1501
Zn 0.2113 0.5000 0.7887
Zn 0.2113 0.7887 0.5000
Zn 0.3442 0.8499 0.8499
Zn 0.5000 0.2113 0.7887
Zn 0.5000 0.7887 0.2113
Zn 0.6558 0.1501 0.1501
Zn 0.7887 0.2113 0.5000
Zn 0.7887 0.5000 0.2113
Zn 0.8499 0.3442 0.8499
Zn 0.8499 0.8499 0.3442
Pd 0.0000 0.5000 0.5000
Pd 0.3935 0.3935 0.3935
Pd 0.5000 0.0000 0.5000
Pd 0.5000 0.5000 0.0000
Pd 0.6065 0.6065 0.6065

Largest 6 diffraction maxima, most intense first, 2θ from 10° to 80°:
- 2θ = 39.2°, I = 100
- 2θ = 39.7°, I = 98
- 2θ = 44.5°, I = 62
- 2θ = 41.3°, I = 45
- 2θ = 41.4°, I = 45
- 2θ = 33.8°, I = 43